1.
Structure and simulated X-ray powder pattern of BaTi4O8 (DFT lattice parameters and positions (PBE); a wavelength of 1.5418 Å).
Peak positions follow from Bragg's law for the DFT cell and can differ from measured ones.

Most intense lines, 10° ≤ 2θ ≤ 80°, by angle:
2θ = 17.15°, I 39
2θ = 19.82°, I 41
2θ = 28.18°, I 40
2θ = 33.17°, I 100
2θ = 34.69°, I 16
2θ = 44.07°, I 13
2θ = 45.27°, I 16
2θ = 53.13°, I 47
2θ = 58.27°, I 36
2θ = 68.72°, I 13

Cell and atoms:
```
13
Lattice="0.0000 4.4787 4.4787 4.4787 0.0000 4.4787 4.4787 4.4787 0.0000" Properties=species:S:1:pos:R:3 pbc="T T T"
Ba 0.0000 0.0000 0.0000
Ti 5.5675 3.3898 3.3898
Ti 3.3898 5.5675 3.3898
Ti 3.3898 3.3898 5.5675
Ti 5.5675 5.5675 5.5675
O 3.5416 3.5416 3.5416
O 5.4158 5.4158 3.5416
O 5.4158 3.5416 5.4158
O 7.5962 5.8398 5.8398
O 3.5416 5.4158 5.4158
O 5.8398 7.5962 5.8398
O 5.8398 5.8398 7.5962
O 7.5962 7.5962 7.5962
```

---

2.
Structure and simulated X-ray powder pattern of CeZn3GaCu (DFT lattice parameters and positions (PBE); a wavelength of 1.5418 Å).
Peak positions follow from Bragg's law for the DFT cell and can differ from measured ones.

Most intense lines, 10° ≤ 2θ ≤ 80°, by angle:
2θ = 28.94°, I 33
2θ = 30.17°, I 25
2θ = 30.32°, I 29
2θ = 32.52°, I 50
2θ = 33.62°, I 54
2θ = 40.39°, I 23
2θ = 42.29°, I 100
2θ = 42.63°, I 71
2θ = 60.93°, I 24
2θ = 62.30°, I 22

Cell and atoms:
```
12
Lattice="3.0852 -6.1064 0.0000 3.0852 6.1064 0.0000 0.0000 0.0000 5.9250" Properties=species:S:1:pos:R:3 pbc="T T T"
Ce 3.0852 3.4236 4.4437
Ce 3.0852 -3.4236 1.4812
Zn 1.2799 0.0000 0.0000
Zn 1.2799 0.0000 2.9625
Zn 3.0852 1.7004 1.4812
Zn 3.0852 -1.7004 4.4437
Zn 4.8905 0.0000 0.0000
Zn 4.8905 0.0000 2.9625
Ga 3.0852 4.3044 1.4812
Ga 3.0852 -4.3044 4.4437
Cu 3.0852 0.7247 4.4437
Cu 3.0852 -0.7247 1.4812
```